Entry 1:
# LiTlS2
Computed PXRD pattern, CuKα. Input: a structure optimized by DFT (PBE).
Peak positions follow from Bragg's law for the DFT cell and can differ from measured ones.

The 12 most intense peaks (2θ from 5° to 70°), in order of rising 2θ:
- 2θ 12.8, I 100, (0 0 1)
- 2θ 25.3, I 84, (1 0 0)
- 2θ 25.7, I 19, (0 0 2)
- 2θ 28.4, I 89, (1 0 1)
- 2θ 36.4, I 58, (1 0 2)
- 2θ 44.5, I 29, (1 1 0)
- 2θ 46.5, I 26, (1 1 1)
- 2θ 47.1, I 42, (0 1 3)
- 2θ 52.1, I 18, (1 1 2)
- 2θ 53.6, I 16, (0 2 1)
- 2θ 58.8, I 15, (0 2 2)
- 2θ 66.8, I 15, (2 0 3)

Cell: 4.0721 4.0721 6.9201 Å, 90.00 90.00 120.00°
Space group P3m1 (No. 156)
Inequivalent atoms, fractional coordinates:
1 Li 0.0000 0.0000 0.0000 (multiplicity 1)
2 Tl 0.3333 0.6667 0.5811 (multiplicity 1)
3 S 0.3333 0.6667 0.9348 (multiplicity 1)
4 S 0.6667 0.3333 0.4034 (multiplicity 1)


Entry 2:
# Pm6Pr3Nd2Sc
Computed PXRD pattern, CuKα. Input: a structure optimized by DFT (PBE).
Peak positions follow from Bragg's law for the DFT cell and can differ from measured ones.

The 12 most intense peaks (2θ from 5° to 70°), in order of rising 2θ:
- 2θ 7.4, I 1, (0 0 1)
- 2θ 14.9, I 1, (0 0 2)
- 2θ 17.0, I 1, (1 1 -1)
- 2θ 17.9, I 1, (0 2 1)
- 2θ 19.1, I 1, (1 1 1)
- 2θ 30.0, I 100, (1 3 1)
- 2θ 34.8, I 51, (2 0 2)
- 2θ 50.1, I 36, (0 6 0)
- 2θ 59.5, I 7, (1 3 -7)
- 2θ 59.5, I 36, (4 0 0)
- 2θ 62.4, I 6, (4 0 -4)
- 2θ 62.5, I 6, (2 6 2)

Cell: 6.3071 10.9222 12.0959 Å, 90.00 100.06 90.00°
Space group C2/m (No. 12)
Inequivalent atoms, fractional coordinates:
1 Pm 0.2457 0.1645 0.2456 (multiplicity 8)
2 Pm 0.2482 0.0000 0.7541 (multiplicity 4)
3 Pr 0.0000 0.1665 0.5000 (multiplicity 4)
4 Pr 0.0000 0.5000 0.5000 (multiplicity 2)
5 Nd 0.0000 0.3334 0.0000 (multiplicity 4)
6 Sc 0.0000 0.0000 0.0000 (multiplicity 2)


Entry 3:
# TiSO4
Computed PXRD pattern, CuKα. Input: a structure optimized by DFT (PBE).
Peak positions follow from Bragg's law for the DFT cell and can differ from measured ones.

The 12 most intense peaks (2θ from 5° to 70°), in order of rising 2θ:
- 2θ 15.4, I 100, (0 0 1)
- 2θ 16.0, I 69, (1 0 0)
- 2θ 22.0, I 54, (0 1 1)
- 2θ 22.5, I 73, (1 1 0)
- 2θ 31.0, I 35, (0 0 2)
- 2θ 38.7, I 29, (1 1 2)
- 2θ 44.9, I 10, (0 2 2)
- 2θ 45.5, I 10, (2 0 2)
- 2θ 45.9, I 33, (2 2 0)
- 2θ 47.3, I 11, (0 0 3)
- 2θ 48.7, I 26, (2 2 1)
- 2θ 56.4, I 29, (2 2 2)

Cell: 5.5246 5.6607 5.7627 Å, 90.00 90.00 90.00°
Space group P222 (No. 16)
Inequivalent atoms, fractional coordinates:
1 Ti 0.0000 0.0000 0.0000 (multiplicity 1)
2 Ti 0.5000 0.5000 0.0000 (multiplicity 1)
3 S 0.0000 0.0000 0.5000 (multiplicity 1)
4 S 0.0000 0.5000 0.0000 (multiplicity 1)
5 O 0.1514 0.1413 0.6637 (multiplicity 4)
6 O 0.2522 0.2719 0.0542 (multiplicity 4)